No. 1
Structure and theoretical X-ray diffraction stick pattern of HoMg2Pb3 (a DFT-relaxed cell (PBE, Alexandria); λ = 1.5418 Å (Cu Kα)).
Neutral-atom scattering factors, no anomalous dispersion.

Cell and atoms:
```
data_HoMg2Pb3
_chemical_formula_sum 'Ho2 Mg4 Pb6'
_symmetry_space_group_name_H-M 'P m c 21'
_symmetry_Int_Tables_number 26
_symmetry_space_group_name_Hall 'P 2c -2'
_cell_length_a 4.741
_cell_length_b 9.823
_cell_length_c 6.966
_cell_angle_alpha 90.00
_cell_angle_beta 90.00
_cell_angle_gamma 90.00
loop_
_atom_site_label
_atom_site_fract_x
_atom_site_fract_y
_atom_site_fract_z
Ho1 0.000 0.056 0.000
Mg1 0.000 0.296 0.501
Mg2 0.500 0.500 0.247
Pb1 0.000 0.398 0.997
Pb2 0.500 0.165 0.729
Pb3 0.500 0.168 0.270
```

Principal peaks in the range 2θ = 5–70°, sorted by position:
hkl 0 1 0, 2θ 9.00, rel. 33; hkl 1 1 1, 2θ 24.45, rel. 23; hkl 1 2 0, 2θ 26.12, rel. 28; hkl 0 3 1, 2θ 30.16, rel. 21; hkl 1 0 2, 2θ 31.88, rel. 100; hkl 1 3 0, 2θ 33.25, rel. 56; hkl 1 3 1, 2θ 35.73, rel. 27; hkl 0 3 2, 2θ 37.71, rel. 34; hkl 2 0 0, 2θ 37.95, rel. 33; hkl 2 3 2, 2θ 54.57, rel. 24

=====

No. 2
Structure and theoretical X-ray diffraction stick pattern of Li4TmAg2 (a DFT-relaxed cell (PBE, Alexandria); λ = 1.5418 Å (Cu Kα)).
Neutral-atom scattering factors, no anomalous dispersion.

Cell and atoms:
```
data_Li4TmAg2
_chemical_formula_sum 'Li8 Tm2 Ag4'
_symmetry_space_group_name_H-M 'C m m m'
_symmetry_Int_Tables_number 65
_symmetry_space_group_name_Hall '-C 2 2'
_cell_length_a 3.904
_cell_length_b 17.879
_cell_length_c 3.970
_cell_angle_alpha 90.00
_cell_angle_beta 90.00
_cell_angle_gamma 90.00
loop_
_atom_site_label
_atom_site_fract_x
_atom_site_fract_y
_atom_site_fract_z
Li1 0.000 0.180 0.000
Li2 0.000 0.316 0.500
Tm1 0.000 0.500 0.000
Ag1 0.000 0.078 0.500
```

Principal peaks in the range 2θ = 5–70°, sorted by position:
hkl 0 2 0, 2θ 9.89, rel. 100; hkl 0 4 1, 2θ 30.11, rel. 13; hkl 1 1 1, 2θ 32.56, rel. 43; hkl 1 5 0, 2θ 34.00, rel. 17; hkl 1 3 1, 2θ 35.60, rel. 11; hkl 0 6 1, 2θ 37.75, rel. 17; hkl 1 7 0, 2θ 42.29, rel. 12; hkl 1 5 2, 2θ 58.18, rel. 7; hkl 2 6 1, 2θ 61.40, rel. 8; hkl 1 7 2, 2θ 64.02, rel. 7

=====

No. 3
Structure and theoretical X-ray diffraction stick pattern of Nb2VHgRu (a DFT-relaxed cell (PBE, Alexandria); λ = 1.5418 Å (Cu Kα)).
Neutral-atom scattering factors, no anomalous dispersion.

Cell and atoms:
```
data_Nb2VHgRu
_chemical_formula_sum 'Nb2 V1 Hg1 Ru1'
_symmetry_space_group_name_H-M 'P 4/m m m'
_symmetry_Int_Tables_number 123
_symmetry_space_group_name_Hall '-P 4 2'
_cell_length_a 4.737
_cell_length_b 4.737
_cell_length_c 5.142
_cell_angle_alpha 90.00
_cell_angle_beta 90.00
_cell_angle_gamma 90.00
loop_
_atom_site_label
_atom_site_fract_x
_atom_site_fract_y
_atom_site_fract_z
Nb1 0.000 0.500 0.000
V1 0.000 0.000 0.500
Hg1 0.500 0.500 0.500
Ru1 0.500 0.500 0.000
```

Principal peaks in the range 2θ = 5–70°, sorted by position:
hkl 1 0 0, 2θ 18.73, rel. 100; hkl 1 1 1, 2θ 31.89, rel. 100; hkl 0 0 2, 2θ 34.90, rel. 51; hkl 2 0 0, 2θ 37.99, rel. 80; hkl 1 0 2, 2θ 39.90, rel. 31; hkl 2 1 0, 2θ 42.69, rel. 25; hkl 2 0 2, 2θ 52.54, rel. 62; hkl 2 2 0, 2θ 54.82, rel. 27; hkl 3 1 1, 2θ 64.83, rel. 25; hkl 2 2 2, 2θ 66.65, rel. 30

=====

No. 4
Structure and theoretical X-ray diffraction stick pattern of VReSi4 (a DFT-relaxed cell (PBE, Alexandria); λ = 1.5418 Å (Cu Kα)).
Neutral-atom scattering factors, no anomalous dispersion.

Cell and atoms:
```
data_VReSi4
_chemical_formula_sum 'V2 Re2 Si8'
_symmetry_space_group_name_H-M 'P 1 21/c 1'
_symmetry_Int_Tables_number 14
_symmetry_space_group_name_Hall '-P 2ybc'
_cell_length_a 5.071
_cell_length_b 7.278
_cell_length_c 4.635
_cell_angle_alpha 90.00
_cell_angle_beta 90.07
_cell_angle_gamma 90.00
loop_
_atom_site_label
_atom_site_fract_x
_atom_site_fract_y
_atom_site_fract_z
V1 0.000 0.000 0.000
Re1 0.500 0.000 0.000
Si1 0.237 0.250 0.250
Si2 0.251 0.641 0.000
```

Principal peaks in the range 2θ = 5–70°, sorted by position:
hkl 1 0 0, 2θ 17.49, rel. 37; hkl 0 1 1, 2θ 22.75, rel. 100; hkl 0 2 0, 2θ 24.46, rel. 29; hkl 1 1 1, 2θ 28.84, rel. 50; hkl 1 2 0, 2θ 30.23, rel. 24; hkl 0 3 1, 2θ 42.04, rel. 42; hkl 2 1 1, 2θ 42.50, rel. 73; hkl 2 2 0, 2θ 43.51, rel. 42; hkl 0 2 2, 2θ 46.45, rel. 30; hkl 2 0 2, 2θ 53.56, rel. 18